The following is a computed X-ray powder pattern of NaLa2PbO5. It was derived from a DFT-relaxed cell (PBE, Alexandria), using CuKα.
Peak positions follow from Bragg's law for the DFT cell and can differ from measured ones.

Largest 12 diffraction maxima, sorted by position, 5° ≤ 2θ ≤ 70°:
two_theta	I_rel	index
17.99	60	1 1 0
22.64	26	1 1 1
27.46	39	0 0 2
29.07	100	2 0 1
31.83	38	2 1 1
33.03	17	1 1 2
36.45	24	2 2 0
40.09	33	2 1 2
43.34	45	3 1 1
46.24	23	2 2 2
49.56	23	2 0 3
59.87	17	3 1 3

abc: 6.972 6.972 6.495
angles: 90.00 90.00 90.00
Fractional positions:
1 Na 0.000 0.000 0.000
2 Na 0.500 0.500 0.000
3 La 0.179 0.321 0.500
4 La 0.321 0.821 0.500
5 La 0.679 0.179 0.500
6 La 0.821 0.679 0.500
7 Pb 0.000 0.500 0.000
8 Pb 0.500 0.000 0.000
9 O 0.000 0.000 0.500
10 O 0.147 0.647 0.261
11 O 0.147 0.647 0.739
12 O 0.353 0.147 0.261
13 O 0.353 0.147 0.739
14 O 0.500 0.500 0.500
15 O 0.647 0.853 0.261
16 O 0.647 0.853 0.739
17 O 0.853 0.353 0.261
18 O 0.853 0.353 0.739